Entry 1:
# TbEr4Al
Theoretical powder XRD pattern, Cu Kα, 1.54184 Å. Input: a crystal structure in Alexandria, relaxed with GGA-PBE.
No peak broadening, texture or thermal motion is included.

Peak list (8 most intense, 10° ≤ 2θ ≤ 90°, in order of rising 2θ)
d 3.426, 2θ 26.01, I 36
d 3.083, 2θ 28.96, I 47
d 3.007, 2θ 29.71, I 63
d 2.789, 2θ 32.09, I 85
d 2.709, 2θ 33.07, I 100
d 2.602, 2θ 34.47, I 74
d 2.555, 2θ 35.13, I 57
d 1.659, 2θ 55.38, I 25

Atomic structure:
Cell: 8.6540 13.7023 6.1691 Å, 90.00 108.48 90.00°
Space group C2/c (No. 15)
Asymmetric unit:
Tb 0.0000 0.0920 0.2500 [4 per cell]
Er 0.0995 0.3152 0.5437 [8 per cell]
Er 0.2209 0.1181 0.8772 [8 per cell]
Al 0.0000 0.4994 0.7500 [4 per cell]


Entry 2:
# Tb3Er2Al2
Theoretical powder XRD pattern, Cu Kα, 1.54184 Å. Input: a crystal structure in Alexandria, relaxed with GGA-PBE.
No peak broadening, texture or thermal motion is included.

Peak list (8 most intense, 10° ≤ 2θ ≤ 90°, in order of rising 2θ)
d 3.508, 2θ 25.39, I 20
d 3.053, 2θ 29.25, I 28
d 2.739, 2θ 32.70, I 100
d 2.498, 2θ 35.96, I 49
d 1.766, 2θ 51.76, I 17
d 1.594, 2θ 57.86, I 12
d 1.528, 2θ 60.60, I 11
d 1.484, 2θ 62.58, I 31

Atomic structure:
Cell: 3.5321 3.5321 30.3593 Å, 90.00 90.00 90.00°
Space group I4/mmm (No. 139)
Asymmetric unit:
Tb 0.0000 0.0000 0.0000 [2 per cell]
Tb 0.0000 0.0000 0.1257 [4 per cell]
Er 0.0000 0.0000 0.2894 [4 per cell]
Al 0.0000 0.0000 0.4365 [4 per cell]


Entry 3:
# Tb3ErAl4
Theoretical powder XRD pattern, Cu Kα, 1.54184 Å. Input: a crystal structure in Alexandria, relaxed with GGA-PBE.
No peak broadening, texture or thermal motion is included.

Peak list (8 most intense, 10° ≤ 2θ ≤ 90°, in order of rising 2θ)
d 3.601, 2θ 24.72, I 62
d 2.546, 2θ 35.24, I 100
d 2.079, 2θ 43.53, I 19
d 1.801, 2θ 50.70, I 18
d 1.611, 2θ 57.20, I 25
d 1.470, 2θ 63.25, I 36
d 1.200, 2θ 79.91, I 12
d 1.139, 2θ 85.21, I 16

Atomic structure:
Cell: 3.6009 3.6009 14.4075 Å, 90.00 90.00 90.00°
Space group P4/mmm (No. 123)
Asymmetric unit:
Tb 0.0000 0.0000 0.0000 [1 per cell]
Tb 0.0000 0.0000 0.2522 [2 per cell]
Er 0.0000 0.0000 0.5000 [1 per cell]
Al 0.5000 0.5000 0.1261 [2 per cell]
Al 0.5000 0.5000 0.3789 [2 per cell]


Entry 4:
# TbErAlTl
Theoretical powder XRD pattern, Cu Kα, 1.54184 Å. Input: a crystal structure in Alexandria, relaxed with GGA-PBE.
No peak broadening, texture or thermal motion is included.

Peak list (8 most intense, 10° ≤ 2θ ≤ 90°, in order of rising 2θ)
d 7.737, 2θ 11.44, I 21
d 3.278, 2θ 27.20, I 24
d 2.643, 2θ 33.92, I 100
d 2.559, 2θ 35.06, I 47
d 1.810, 2θ 50.43, I 17
d 1.543, 2θ 59.95, I 18
d 1.493, 2θ 62.17, I 35
d 1.321, 2θ 71.38, I 11

Atomic structure:
Cell: 3.6192 3.6192 7.7367 Å, 90.00 90.00 90.00°
Space group P4mm (No. 99)
Asymmetric unit:
Tb 0.0000 0.0000 0.0000 [1 per cell]
Er 0.0000 0.0000 0.5301 [1 per cell]
Al 0.5000 0.5000 0.7618 [1 per cell]
Tl 0.5000 0.5000 0.2699 [1 per cell]